For Pm2Sm5Dy5, DFT lattice parameters and positions (GGA-PBE) gives the simulated XRD peak list in this record (Cu Kα, 1.54184 Å).
Kinematic intensities with the Lorentz-polarization factor, no thermal factor.

Most intense lines, 2θ = 10–90°, in order of falling intensity:
| 2θ/deg | I_rel |
| --- | --- |
| 30.45 | 100 |
| 35.31 | 51 |
| 50.79 | 36 |
| 60.35 | 29 |
| 60.44 | 14 |
| 63.37 | 12 |

Unit cell a=8.0385 b=8.0385 c=11.3836 alpha=115.12 beta=115.12 gamma=36.83
Positions (direct):
Pm1 0.0831 0.0831 0.2506
Pm2 0.9169 0.9169 0.7494
Sm1 0.0000 0.0000 0.5000
Sm2 0.1661 0.1661 0.9994
Sm3 0.2491 0.2491 0.7485
Sm4 0.7509 0.7509 0.2515
Sm5 0.8339 0.8339 0.0006
Dy1 0.3331 0.3331 0.4995
Dy2 0.4169 0.4169 0.2505
Dy3 0.5000 0.5000 0.0000
Dy4 0.5831 0.5831 0.7495
Dy5 0.6669 0.6669 0.5005

=====

For Dy4YS7, DFT lattice parameters and positions (GGA-PBE) gives the simulated XRD peak list in this record (Cu Kα, 1.54184 Å).
Kinematic intensities with the Lorentz-polarization factor, no thermal factor.

Most intense lines, 2θ = 10–90°, in order of falling intensity:
| 2θ/deg | I_rel |
| --- | --- |
| 24.44 | 100 |
| 23.85 | 88 |
| 33.16 | 46 |
| 34.22 | 46 |
| 31.50 | 42 |
| 27.74 | 38 |

Unit cell a=6.7096 b=6.7096 c=11.6149 alpha=103.98 beta=103.98 gamma=32.99
Positions (direct):
Dy1 0.0000 0.0000 0.0000
Dy2 0.1885 0.1885 0.7668
Dy3 0.5884 0.5884 0.3912
Dy4 0.8884 0.8884 0.5789
Y1 0.7764 0.7764 0.1576
S1 0.1470 0.1470 0.2265
S2 0.2293 0.2293 0.5279
S3 0.3881 0.3881 0.0782
S4 0.5476 0.5476 0.6300
S5 0.6287 0.6287 0.9309
S6 0.8465 0.8465 0.7938
S7 0.9303 0.9303 0.3641

=====

For Dy2YRh2, DFT lattice parameters and positions (GGA-PBE) gives the simulated XRD peak list in this record (Cu Kα, 1.54184 Å).
Kinematic intensities with the Lorentz-polarization factor, no thermal factor.

Most intense lines, 2θ = 10–90°, in order of falling intensity:
| 2θ/deg | I_rel |
| --- | --- |
| 32.89 | 100 |
| 33.28 | 96 |
| 34.59 | 70 |
| 40.97 | 59 |
| 41.53 | 57 |
| 41.94 | 57 |

Unit cell a=5.5552 b=4.3492 c=10.4082 alpha=90.00 beta=98.89 gamma=90.00
Positions (direct):
Dy1 0.1141 0.2500 0.3853
Dy2 0.2325 0.7500 0.9650
Dy3 0.7675 0.2500 0.0350
Dy4 0.8859 0.7500 0.6147
Y1 0.4459 0.2500 0.7120
Y2 0.5541 0.7500 0.2880
Rh1 0.3083 0.2500 0.1385
Rh2 0.3435 0.7500 0.5358
Rh3 0.6565 0.2500 0.4642
Rh4 0.6917 0.7500 0.8615